InGa2Te3: simulated X-ray powder pattern (Cu Kα X-rays), based on a DFT-relaxed cell (GGA-PBE, Alexandria).

Atomic structure:
Unit cell a=10.0455 b=10.0455 c=9.2330 alpha=96.25 beta=96.25 gamma=28.12
Fractional positions:
In: 0.1824 0.1824 0.0086
In: 0.8176 0.8176 0.9914
Ga: 0.2048 0.2048 0.3848
Ga: 0.4483 0.4483 0.8267
Ga: 0.5517 0.5517 0.1733
Ga: 0.7952 0.7952 0.6152
Te: 0.0681 0.0681 0.3105
Te: 0.2414 0.2414 0.6848
Te: 0.4098 0.4098 0.0984
Te: 0.5902 0.5902 0.9016
Te: 0.7586 0.7586 0.3152
Te: 0.9319 0.9319 0.6895

Most intense lines, 2θ from 10° to 90°, in order of falling intensity:
2θ/deg  I (rel.)
34.48  100
25.45  99
36.83  92
12.52  60
29.44  56
20.47  54
22.84  49
21.70  48